# Pr3YO6
Theoretical PXRD pattern, copper Kα. Input: a structure optimized by DFT (GGA-PBE).
No peak broadening, texture or thermal motion is included.

Cell and atoms:
Cell: 10.0150 10.0150 11.6821 Å, 90.00 90.00 120.00°
Space group R-3 (No. 148, hexagonal axes)
One atom of each set of equivalent atoms:
Pr: 0.0387 0.7727 0.2093 (multiplicity 18)
Y: 0.0000 0.0000 0.0000 (multiplicity 3)
Y: 0.0000 0.0000 0.5000 (multiplicity 3)
O: 0.0275 0.8427 0.8755 (multiplicity 18)
O: 0.0287 0.8148 0.4053 (multiplicity 18)

Principal peaks in the range 2θ from 5° to 70°, by angle:
| index | d [Å] | two_theta | I/Imax |
| --- | --- | --- | --- |
| 0 0 3 | 3.894 | 22.84 | 37 |
| 2 0 2 | 3.482 | 25.58 | 24 |
| 3 -1 1 | 3.156 | 28.28 | 100 |
| 2 -1 3 | 3.074 | 29.05 | 45 |
| 1 2 2 | 2.859 | 31.29 | 58 |
| 4 -1 2 | 2.224 | 40.56 | 20 |
| 3 -1 4 | 2.181 | 41.41 | 27 |
| 5 -2 1 | 1.962 | 46.29 | 17 |
| 4 1 0 | 1.893 | 48.07 | 30 |
| 1 1 6 | 1.815 | 50.28 | 22 |